# SrAg3Pd
Calculated powder diffractogram, Cu Kα X-rays. Input: a DFT-relaxed cell (PBE, Alexandria).
Neutral-atom scattering factors, no anomalous dispersion.

Atomic structure:
abc: 7.382 7.382 5.619
angles: 90.00 90.00 133.91
Positions (direct):
Sr 0.094 0.906 0.750
Sr 0.906 0.094 0.250
Ag 0.109 0.402 0.750
Ag 0.319 0.681 0.250
Ag 0.402 0.109 0.250
Ag 0.598 0.891 0.750
Ag 0.681 0.319 0.750
Ag 0.891 0.598 0.250
Pd 0.500 0.500 0.000
Pd 0.500 0.500 0.500

The 6 most intense peaks (2θ = 10–90°), by angle:
31.9°, I 27; 36.5°, I 30; 37.4°, I 100; 40.9°, I 22; 41.7°, I 36; 60.5°, I 23



# SrAg9Pd3
Calculated powder diffractogram, Cu Kα X-rays. Input: a DFT-relaxed cell (PBE, Alexandria).
Neutral-atom scattering factors, no anomalous dispersion.

Atomic structure:
abc: 7.253 7.253 7.245
angles: 98.25 98.25 134.94
Positions (direct):
Sr 0.000 0.000 0.000
Ag 0.013 0.660 0.653
Ag 0.278 0.500 0.780
Ag 0.340 0.987 0.347
Ag 0.500 0.278 0.780
Ag 0.500 0.500 0.500
Ag 0.500 0.722 0.220
Ag 0.660 0.013 0.653
Ag 0.722 0.500 0.220
Ag 0.987 0.340 0.347
Pd 0.000 0.000 0.500
Pd 0.000 0.500 0.000
Pd 0.500 0.000 0.000

The 6 most intense peaks (2θ = 10–90°), by angle:
37.4°, I 24; 37.6°, I 44; 37.9°, I 100; 42.3°, I 31; 42.4°, I 21; 42.6°, I 46



# SrAg3Pd8
Calculated powder diffractogram, Cu Kα X-rays. Input: a DFT-relaxed cell (PBE, Alexandria).
Neutral-atom scattering factors, no anomalous dispersion.

Atomic structure:
abc: 5.321 5.321 8.861
angles: 90.00 90.00 120.00
Positions (direct):
Sr 0.000 0.000 0.000
Ag 0.000 0.000 0.389
Ag 0.667 0.333 0.494
Ag 0.667 0.333 0.837
Pd 0.165 0.330 0.681
Pd 0.165 0.835 0.681
Pd 0.333 0.667 0.436
Pd 0.333 0.667 0.935
Pd 0.502 0.005 0.194
Pd 0.502 0.498 0.194
Pd 0.670 0.835 0.681
Pd 0.995 0.498 0.194

The 6 most intense peaks (2θ = 10–90°), by angle:
33.7°, I 28; 36.1°, I 71; 39.5°, I 100; 40.4°, I 95; 66.6°, I 31; 70.8°, I 28